[1]
Structure and calculated XRD peak list of Cd4In3Ag4 (a GGA-PBE-relaxed structure; Cu Kα).
Lines closer than 0.1° are merged.

Cell and atoms:
```
data_Cd4In3Ag4
_cell_length_a 3.342
_cell_length_b 4.142
_cell_length_c 17.179
_cell_angle_alpha 83.66
_cell_angle_beta 84.62
_cell_angle_gamma 89.64
_symmetry_space_group_name_H-M 'P -1'
_symmetry_Int_Tables_number 2
_symmetry_space_group_name_Hall '-P 1'
loop_
_atom_site_label
_atom_site_type_symbol
_atom_site_fract_x
_atom_site_fract_y
_atom_site_fract_z
Cd1 Cd 0.051 0.052 0.400
Cd2 Cd 0.311 0.307 0.875
In1 In 0.139 0.147 0.222
In2 In 0.500 0.500 0.500
Ag1 Ag 0.228 0.230 0.044
Ag2 Ag 0.405 0.400 0.688
```

The 10 most intense peaks (2θ from 10° to 80°), sorted by position:
2θ = 34.37°, I = 100; 2θ = 34.59°, I = 98; 2θ = 36.07°, I = 81; 2θ = 36.46°, I = 81; 2θ = 39.64°, I = 63; 2θ = 39.81°, I = 63; 2θ = 43.71°, I = 50; 2θ = 54.94°, I = 25; 2θ = 60.71°, I = 17; 2θ = 67.75°, I = 37

[2]
Structure and calculated XRD peak list of Mn4Si3Ni5 (a GGA-PBE-relaxed structure; Cu Kα).
Lines closer than 0.1° are merged.

Cell and atoms:
```
data_Mn4Si3Ni5
_cell_length_a 7.507
_cell_length_b 4.740
_cell_length_c 8.155
_cell_angle_alpha 90.00
_cell_angle_beta 90.00
_cell_angle_gamma 90.00
_symmetry_space_group_name_H-M 'A m m 2'
_symmetry_Int_Tables_number 38
_symmetry_space_group_name_Hall 'A 2 -2'
loop_
_atom_site_label
_atom_site_type_symbol
_atom_site_fract_x
_atom_site_fract_y
_atom_site_fract_z
Mn1 Mn 0.184 0.000 0.000
Mn2 Mn 0.310 0.000 0.335
Si1 Si 0.243 0.000 0.657
Si2 Si 0.500 0.000 0.854
Ni1 Ni 0.000 0.000 0.492
Ni2 Ni 0.000 0.246 0.249
Ni3 Ni 0.500 0.249 0.094
```

The 10 most intense peaks (2θ from 10° to 80°), sorted by position:
2θ = 23.70°, I = 19; 2θ = 38.16°, I = 20; 2θ = 42.34°, I = 100; 2θ = 44.20°, I = 25; 2θ = 45.25°, I = 48; 2θ = 45.42°, I = 60; 2θ = 45.91°, I = 84; 2θ = 46.14°, I = 52; 2θ = 48.50°, I = 22; 2θ = 79.07°, I = 24

[3]
Structure and calculated XRD peak list of BiSbPd2 (a GGA-PBE-relaxed structure; Cu Kα).
Lines closer than 0.1° are merged.

Cell and atoms:
```
data_BiSbPd2
_cell_length_a 4.135
_cell_length_b 6.245
_cell_length_c 6.669
_cell_angle_alpha 90.00
_cell_angle_beta 90.20
_cell_angle_gamma 90.00
_symmetry_space_group_name_H-M 'P 1 21 1'
_symmetry_Int_Tables_number 4
_symmetry_space_group_name_Hall 'P 2yb'
loop_
_atom_site_label
_atom_site_type_symbol
_atom_site_fract_x
_atom_site_fract_y
_atom_site_fract_z
Bi1 Bi 0.250 0.000 0.053
Sb1 Sb 0.249 0.300 0.573
Pd1 Pd 0.250 0.722 0.701
Pd2 Pd 0.251 0.576 0.260
```

The 10 most intense peaks (2θ from 10° to 80°), sorted by position:
2θ = 29.16°, I = 100; 2θ = 31.64°, I = 64; 2θ = 34.49°, I = 19; 2θ = 37.47°, I = 43; 2θ = 37.58°, I = 43; 2θ = 38.57°, I = 61; 2θ = 43.20°, I = 29; 2θ = 43.78°, I = 40; 2θ = 48.99°, I = 24; 2θ = 55.02°, I = 27

[4]
Structure and calculated XRD peak list of La3SbO7 (a GGA-PBE-relaxed structure; Cu Kα).
Lines closer than 0.1° are merged.

Cell and atoms:
```
data_La3SbO7
_cell_length_a 11.190
_cell_length_b 7.693
_cell_length_c 7.826
_cell_angle_alpha 90.00
_cell_angle_beta 90.00
_cell_angle_gamma 90.00
_symmetry_space_group_name_H-M 'C m c m'
_symmetry_Int_Tables_number 63
_symmetry_space_group_name_Hall '-C 2c 2'
loop_
_atom_site_label
_atom_site_type_symbol
_atom_site_fract_x
_atom_site_fract_y
_atom_site_fract_z
La1 La 0.000 0.000 0.000
La2 La 0.229 0.292 0.250
Sb1 Sb 0.000 0.500 0.000
O1 O 0.000 0.423 0.250
O2 O 0.125 0.315 0.533
O3 O 0.131 0.021 0.250
```

The 10 most intense peaks (2θ from 10° to 80°), sorted by position:
2θ = 27.82°, I = 100; 2θ = 28.15°, I = 92; 2θ = 31.99°, I = 22; 2θ = 32.65°, I = 43; 2θ = 46.37°, I = 70; 2θ = 54.50°, I = 11; 2θ = 54.70°, I = 11; 2θ = 55.17°, I = 28; 2θ = 55.74°, I = 19; 2θ = 57.48°, I = 10

[5]
Structure and calculated XRD peak list of RbCaAuSe2 (a GGA-PBE-relaxed structure; Cu Kα).
Lines closer than 0.1° are merged.

Cell and atoms:
```
data_RbCaAuSe2
_cell_length_a 7.594
_cell_length_b 15.677
_cell_length_c 5.647
_cell_angle_alpha 90.00
_cell_angle_beta 90.00
_cell_angle_gamma 90.00
_symmetry_space_group_name_H-M 'C m m e'
_symmetry_Int_Tables_number 67
_symmetry_space_group_name_Hall '-C 2a 2'
loop_
_atom_site_label
_atom_site_type_symbol
_atom_site_fract_x
_atom_site_fract_y
_atom_site_fract_z
Rb1 Rb 0.000 0.250 0.214
Ca1 Ca 0.250 0.000 0.500
Au1 Au 0.000 0.000 0.000
Se1 Se 0.000 0.118 0.713
```

The 10 most intense peaks (2θ from 10° to 80°), sorted by position:
2θ = 11.29°, I = 88; 2θ = 19.37°, I = 32; 2θ = 23.43°, I = 100; 2θ = 26.03°, I = 90; 2θ = 27.71°, I = 36; 2θ = 28.32°, I = 38; 2θ = 30.58°, I = 60; 2θ = 33.74°, I = 46; 2θ = 36.59°, I = 69; 2θ = 46.31°, I = 43

[6]
Structure and calculated XRD peak list of Pa2MnZn2Si4 (a GGA-PBE-relaxed structure; Cu Kα).
Lines closer than 0.1° are merged.

Cell and atoms:
```
data_Pa2MnZn2Si4
_cell_length_a 5.948
_cell_length_b 5.948
_cell_length_c 8.470
_cell_angle_alpha 90.00
_cell_angle_beta 90.00
_cell_angle_gamma 90.00
_symmetry_space_group_name_H-M 'I 4/m m m'
_symmetry_Int_Tables_number 139
_symmetry_space_group_name_Hall '-I 4 2'
loop_
_atom_site_label
_atom_site_type_symbol
_atom_site_fract_x
_atom_site_fract_y
_atom_site_fract_z
Pa1 Pa 0.000 0.500 0.250
Mn1 Mn 0.000 0.000 0.000
Zn1 Zn 0.000 0.000 0.290
Si1 Si 0.223 0.223 0.500
```

The 10 most intense peaks (2θ from 10° to 80°), sorted by position:
2θ = 20.98°, I = 41; 2θ = 21.12°, I = 30; 2θ = 29.94°, I = 65; 2θ = 30.05°, I = 64; 2θ = 36.93°, I = 100; 2θ = 43.01°, I = 47; 2θ = 48.34°, I = 30; 2θ = 53.29°, I = 25; 2θ = 62.22°, I = 26; 2θ = 74.82°, I = 24